1.
Ba2AlTlSn2O7: theoretical powder XRD pattern (Cu Kα), based on the GGA-PBE geometry in Alexandria.
Kinematic intensities with the Lorentz-polarization factor, no thermal factor.

Largest 10 diffraction maxima, low angle first, 5 to 70 degrees two-theta:
| 2θ (°) | I (rel.) | index |
| --- | --- | --- |
| 25.4 | 32 | 1 0 2 |
| 29.6 | 100 | 1 0 3 |
| 30.6 | 62 | 1 1 0 |
| 34.0 | 20 | 0 0 5 |
| 43.8 | 32 | 2 0 0 |
| 46.3 | 22 | 1 1 5 |
| 52.0 | 15 | 1 1 6 |
| 53.8 | 39 | 2 1 3 |
| 56.5 | 18 | 2 0 5 |
| 60.4 | 15 | 1 0 8 |

Structure:
abc: 4.1364 4.1364 13.1992
angles: 90.00 90.00 90.00
Space group P4/mmm (No. 123)
Asymmetric unit:
Ba: 0.0000 0.0000 0.1880 (multiplicity 2)
Al: 0.0000 0.0000 0.5000 (multiplicity 1)
Tl: 0.5000 0.5000 0.0000 (multiplicity 1)
Sn: 0.5000 0.5000 0.3688 (multiplicity 2)
O: 0.0000 0.0000 0.0000 (multiplicity 1)
O: 0.0000 0.5000 0.4022 (multiplicity 4)
O: 0.5000 0.5000 0.2130 (multiplicity 2)



2.
TbInGa4: theoretical powder XRD pattern (Cu Kα), based on the GGA-PBE geometry in Alexandria.
Kinematic intensities with the Lorentz-polarization factor, no thermal factor.

Largest 10 diffraction maxima, low angle first, 5 to 70 degrees two-theta:
| 2θ (°) | I (rel.) | index |
| --- | --- | --- |
| 22.0 | 13 | 0 1 1 |
| 34.4 | 100 | 1 1 1 |
| 34.7 | 47 | 1 0 2 |
| 38.3 | 33 | 0 2 0 |
| 39.2 | 62 | 0 1 3 |
| 52.6 | 28 | 1 2 2 |
| 53.6 | 27 | 2 0 0 |
| 66.7 | 14 | 1 3 1 |
| 67.8 | 26 | 2 2 0 |
| 68.4 | 35 | 2 1 3 |

Structure:
abc: 3.4178 4.7036 7.9055
angles: 90.00 90.00 90.00
Space group Pmmm (No. 47)
Asymmetric unit:
Tb: 0.0000 0.0000 0.0000 (multiplicity 1)
In: 0.0000 0.5000 0.5000 (multiplicity 1)
Ga: 0.5000 0.0000 0.3355 (multiplicity 2)
Ga: 0.5000 0.5000 0.1652 (multiplicity 2)



3.
Mg17Cd11Ag: theoretical powder XRD pattern (Cu Kα), based on the GGA-PBE geometry in Alexandria.
Kinematic intensities with the Lorentz-polarization factor, no thermal factor.

Largest 10 diffraction maxima, low angle first, 5 to 70 degrees two-theta:
| 2θ (°) | I (rel.) | index |
| --- | --- | --- |
| 19.5 | 39 | 2 2 -1 |
| 20.3 | 100 | 1 1 1 |
| 20.4 | 33 | 1 1 -2 |
| 33.4 | 33 | 4 2 -2 |
| 36.0 | 78 | 1 5 1 |
| 36.1 | 29 | 1 3 -3 |
| 38.7 | 44 | 3 5 -1 |
| 39.5 | 55 | 2 6 -1 |
| 39.6 | 25 | 2 0 -4 |
| 40.2 | 22 | 5 1 -2 |

Structure:
abc: 11.4910 14.9280 9.3691
angles: 90.00 127.38 90.00
Space group Cm (No. 8)
Asymmetric unit:
Mg: 0.0000 0.0000 0.0000 (multiplicity 2)
Mg: 0.0104 0.0000 0.6528 (multiplicity 2)
Mg: 0.0772 0.3410 0.0579 (multiplicity 4)
Mg: 0.1551 0.5000 0.3093 (multiplicity 2)
Mg: 0.1749 0.1561 0.2538 (multiplicity 4)
Mg: 0.1962 0.1659 0.6508 (multiplicity 4)
Mg: 0.2017 0.5000 0.9462 (multiplicity 2)
Mg: 0.3073 0.2969 0.9677 (multiplicity 4)
Mg: 0.4089 0.0000 0.3653 (multiplicity 2)
Mg: 0.4675 0.1423 0.6521 (multiplicity 4)
Mg: 0.4942 0.2026 0.3383 (multiplicity 4)
Cd: 0.0132 0.1815 0.8486 (multiplicity 4)
Cd: 0.2183 0.4041 0.6534 (multiplicity 4)
Cd: 0.2952 0.0976 0.0186 (multiplicity 4)
Cd: 0.3185 0.3183 0.4556 (multiplicity 4)
Cd: 0.4024 0.0000 0.8396 (multiplicity 2)
Cd: 0.4367 0.4032 0.2903 (multiplicity 4)
Ag: 0.2174 0.0000 0.4588 (multiplicity 2)



4.
Li5HfTe6: theoretical powder XRD pattern (Cu Kα), based on the GGA-PBE geometry in Alexandria.
Kinematic intensities with the Lorentz-polarization factor, no thermal factor.

Largest 10 diffraction maxima, low angle first, 5 to 70 degrees two-theta:
| 2θ (°) | I (rel.) | index |
| --- | --- | --- |
| 11.9 | 21 | 0 0 1 |
| 14.7 | 27 | 1 1 0 |
| 23.8 | 42 | 2 0 0 |
| 24.0 | 36 | 0 0 2 |
| 29.4 | 64 | 2 0 -2 |
| 29.9 | 40 | 1 3 -1 |
| 32.3 | 100 | 1 3 1 |
| 38.2 | 32 | 2 0 2 |
| 44.1 | 41 | 3 3 -1 |
| 44.3 | 41 | 1 3 -3 |

Structure:
abc: 7.7144 10.2906 7.6707
angles: 90.00 104.41 90.00
Space group C2/m (No. 12)
Asymmetric unit:
Li: 0.0000 0.0000 0.0000 (multiplicity 2)
Li: 0.0000 0.1583 0.5000 (multiplicity 4)
Li: 0.0000 0.3408 0.0000 (multiplicity 4)
Hf: 0.0000 0.5000 0.5000 (multiplicity 2)
Te: 0.2365 0.3307 0.7484 (multiplicity 8)
Te: 0.2496 0.0000 0.7398 (multiplicity 4)



5.
Tl2IrBr2Cl4: theoretical powder XRD pattern (Cu Kα), based on the GGA-PBE geometry in Alexandria.
Kinematic intensities with the Lorentz-polarization factor, no thermal factor.

Largest 10 diffraction maxima, low angle first, 5 to 70 degrees two-theta:
| 2θ (°) | I (rel.) | index |
| --- | --- | --- |
| 15.2 | 44 | 1 1 0 |
| 24.6 | 100 | 2 0 -2 |
| 24.8 | 54 | 3 1 -1 |
| 25.1 | 52 | 0 2 0 |
| 29.1 | 31 | 3 1 -2 |
| 30.6 | 45 | 2 2 0 |
| 35.0 | 45 | 4 0 0 |
| 35.5 | 82 | 2 2 -2 |
| 43.5 | 42 | 4 2 0 |
| 50.5 | 38 | 2 2 2 |

Structure:
abc: 12.5080 7.0940 7.2222
angles: 90.00 124.84 90.00
Space group C2/m (No. 12)
Asymmetric unit:
Tl: 0.2491 0.0000 0.2733 (multiplicity 4)
Ir: 0.0000 0.0000 0.5000 (multiplicity 2)
Br: 0.2398 0.0000 0.7902 (multiplicity 4)
Cl: 0.0259 0.2327 0.2985 (multiplicity 8)



6.
Ca2Ag3Sn: theoretical powder XRD pattern (Cu Kα), based on the GGA-PBE geometry in Alexandria.
Kinematic intensities with the Lorentz-polarization factor, no thermal factor.

Largest 10 diffraction maxima, low angle first, 5 to 70 degrees two-theta:
| 2θ (°) | I (rel.) | index |
| --- | --- | --- |
| 21.3 | 29 | 0 2 2 |
| 24.6 | 68 | 2 0 0 |
| 32.6 | 47 | 2 0 4 |
| 32.7 | 94 | 2 2 2 |
| 37.0 | 100 | 0 2 6 |
| 37.4 | 48 | 0 4 0 |
| 44.9 | 55 | 2 2 6 |
| 45.3 | 27 | 2 4 0 |
| 50.4 | 46 | 4 0 0 |
| 64.1 | 50 | 4 2 6 |

Structure:
abc: 7.2379 9.6096 16.9167
angles: 90.00 90.00 90.00
Space group Fmmm (No. 69)
Asymmetric unit:
Ca: 0.2430 0.0000 0.0000 (multiplicity 8)
Ca: 0.2500 0.2500 0.2500 (multiplicity 8)
Ag: 0.0000 0.0000 0.1673 (multiplicity 8)
Ag: 0.0000 0.2494 0.0822 (multiplicity 16)
Sn: 0.0000 0.0000 0.3349 (multiplicity 8)



7.
Hf2TcHRu: theoretical powder XRD pattern (Cu Kα), based on the GGA-PBE geometry in Alexandria.
Kinematic intensities with the Lorentz-polarization factor, no thermal factor.

Largest 10 diffraction maxima, low angle first, 5 to 70 degrees two-theta:
| 2θ (°) | I (rel.) | index |
| --- | --- | --- |
| 26.0 | 5 | 0 0 1 |
| 27.5 | 8 | 1 1 0 |
| 38.2 | 100 | 1 1 1 |
| 39.3 | 47 | 2 0 0 |
| 47.7 | 4 | 2 0 1 |
| 53.5 | 10 | 0 0 2 |
| 56.8 | 16 | 2 2 0 |
| 61.2 | 2 | 1 1 2 |
| 63.5 | 2 | 2 2 1 |
| 68.4 | 18 | 2 0 2 |

Structure:
abc: 4.5870 4.5870 3.4252
angles: 90.00 90.00 90.00
Space group P4/mmm (No. 123)
Asymmetric unit:
Hf: 0.0000 0.5000 0.0000 (multiplicity 2)
Tc: 0.0000 0.0000 0.5000 (multiplicity 1)
H: 0.5000 0.5000 0.0000 (multiplicity 1)
Ru: 0.5000 0.5000 0.5000 (multiplicity 1)



8.
Ce6Co2Ir: theoretical powder XRD pattern (Cu Kα), based on the GGA-PBE geometry in Alexandria.
Kinematic intensities with the Lorentz-polarization factor, no thermal factor.

Largest 10 diffraction maxima, low angle first, 5 to 70 degrees two-theta:
| 2θ (°) | I (rel.) | index |
| --- | --- | --- |
| 29.2 | 28 | 0 1 3 |
| 31.2 | 61 | 3 0 1 |
| 33.1 | 72 | 2 2 2 |
| 35.0 | 100 | 1 2 3 |
| 35.5 | 45 | 2 1 3 |
| 35.9 | 35 | 2 3 1 |
| 36.5 | 29 | 3 1 2 |
| 40.4 | 27 | 1 4 1 |
| 41.5 | 25 | 3 3 0 |
| 62.2 | 40 | 5 2 3 |

Structure:
abc: 8.9967 9.4906 9.6941
angles: 90.00 90.00 90.00
Space group Immm (No. 71)
Asymmetric unit:
Ce: 0.0000 0.2464 0.1831 (multiplicity 8)
Ce: 0.1864 0.1507 0.5000 (multiplicity 8)
Ce: 0.2058 0.5000 0.3307 (multiplicity 8)
Co: 0.0000 0.0000 0.2904 (multiplicity 4)
Co: 0.0000 0.3550 0.5000 (multiplicity 4)
Ir: 0.0000 0.0000 0.0000 (multiplicity 2)
Ir: 0.0000 0.5000 0.0000 (multiplicity 2)



9.
Ba3Tl4Pd4: theoretical powder XRD pattern (Cu Kα), based on the GGA-PBE geometry in Alexandria.
Kinematic intensities with the Lorentz-polarization factor, no thermal factor.

Largest 10 diffraction maxima, low angle first, 5 to 70 degrees two-theta:
| 2θ (°) | I (rel.) | index |
| --- | --- | --- |
| 11.3 | 24 | 0 0 2 |
| 29.4 | 100 | 1 2 1 |
| 31.8 | 70 | 1 1 4 |
| 33.6 | 47 | 1 2 3 |
| 34.3 | 29 | 0 0 6 |
| 36.4 | 50 | 0 3 3 |
| 39.1 | 47 | 2 0 0 |
| 39.4 | 29 | 1 3 2 |
| 40.9 | 27 | 1 2 5 |
| 54.5 | 32 | 2 3 3 |

Structure:
abc: 4.6080 8.3842 15.7070
angles: 90.00 90.00 90.00
Space group Immm (No. 71)
Asymmetric unit:
Ba: 0.0000 0.0000 0.0000 (multiplicity 2)
Ba: 0.0000 0.5000 0.1240 (multiplicity 4)
Tl: 0.0000 0.3045 0.3304 (multiplicity 8)
Pd: 0.0000 0.0000 0.2160 (multiplicity 4)
Pd: 0.0000 0.1813 0.5000 (multiplicity 4)



10.
Rb2Pu2HfSe6: theoretical powder XRD pattern (Cu Kα), based on the GGA-PBE geometry in Alexandria.
Kinematic intensities with the Lorentz-polarization factor, no thermal factor.

Largest 10 diffraction maxima, low angle first, 5 to 70 degrees two-theta:
| 2θ (°) | I (rel.) | index |
| --- | --- | --- |
| 10.8 | 100 | 0 0 1 |
| 26.0 | 13 | 1 3 -1 |
| 28.8 | 39 | 2 0 -2 |
| 29.0 | 78 | 1 3 1 |
| 36.0 | 20 | 1 3 2 |
| 38.7 | 26 | 1 3 -3 |
| 38.8 | 14 | 2 0 2 |
| 43.8 | 27 | 3 3 -1 |
| 44.1 | 13 | 0 6 0 |
| 53.5 | 13 | 2 6 -2 |

Structure:
abc: 7.1748 12.3172 8.5244
angles: 90.00 106.71 90.00
Space group C2/m (No. 12)
Asymmetric unit:
Rb: 0.0000 0.1703 0.0000 (multiplicity 4)
Pu: 0.0000 0.3333 0.5000 (multiplicity 4)
Hf: 0.0000 0.0000 0.5000 (multiplicity 2)
Se: 0.2225 0.1564 0.6895 (multiplicity 8)
Se: 0.2476 0.0000 0.3115 (multiplicity 4)



11.
Li2NbP4O13: theoretical powder XRD pattern (Cu Kα), based on the GGA-PBE geometry in Alexandria.
Kinematic intensities with the Lorentz-polarization factor, no thermal factor.

Largest 10 diffraction maxima, low angle first, 5 to 70 degrees two-theta:
| 2θ (°) | I (rel.) | index |
| --- | --- | --- |
| 11.5 | 28 | 0 1 0 |
| 13.6 | 100 | 0 0 2 |
| 20.1 | 12 | 0 1 -2 |
| 21.5 | 24 | 1 0 2 |
| 21.9 | 13 | 1 0 -2 |
| 24.4 | 40 | -1 1 2 |
| 26.3 | 15 | 1 2 0 |
| 26.4 | 31 | 1 2 2 |
| 30.0 | 20 | 0 2 -2 |
| 33.0 | 15 | -1 1 4 |

Structure:
abc: 5.3463 8.1554 13.5812
angles: 73.61 86.17 79.67
Space group P-1 (No. 2)
Asymmetric unit:
Li: 0.0148 0.2946 0.0053 (multiplicity 2)
Li: 0.4582 0.6738 0.4929 (multiplicity 2)
Nb: 0.0236 0.9700 0.2441 (multiplicity 2)
P: 0.1388 0.3749 0.1934 (multiplicity 2)
P: 0.1736 0.4171 0.6792 (multiplicity 2)
P: 0.4181 0.1650 0.8682 (multiplicity 2)
P: 0.4626 0.1202 0.3503 (multiplicity 2)
O: 0.0126 0.7062 0.3180 (multiplicity 2)
O: 0.0185 0.2382 0.1627 (multiplicity 2)
O: 0.0258 0.5868 0.7085 (multiplicity 2)
O: 0.1577 0.5330 0.1084 (multiplicity 2)
O: 0.2521 0.9502 0.6653 (multiplicity 2)
O: 0.2541 0.0372 0.8525 (multiplicity 2)
O: 0.2960 0.9056 0.1465 (multiplicity 2)
O: 0.3037 0.9828 0.3432 (multiplicity 2)
O: 0.3098 0.4763 0.5792 (multiplicity 2)
O: 0.3551 0.2220 0.9629 (multiplicity 2)
O: 0.3764 0.3347 0.7673 (multiplicity 2)
O: 0.4058 0.2822 0.2440 (multiplicity 2)
O: 0.4095 0.1912 0.4402 (multiplicity 2)



12.
B2Ir2Ru: theoretical powder XRD pattern (Cu Kα), based on the GGA-PBE geometry in Alexandria.
Kinematic intensities with the Lorentz-polarization factor, no thermal factor.

Largest 10 diffraction maxima, low angle first, 5 to 70 degrees two-theta:
| 2θ (°) | I (rel.) | index |
| --- | --- | --- |
| 31.2 | 100 | 2 1 0 |
| 33.2 | 18 | 0 0 1 |
| 38.8 | 35 | 1 1 1 |
| 39.7 | 8 | 2 2 0 |
| 43.8 | 27 | 2 0 1 |
| 44.6 | 50 | 3 1 0 |
| 46.2 | 81 | 2 1 1 |
| 59.4 | 8 | 4 1 0 |
| 68.0 | 20 | 4 0 1 |
| 69.7 | 20 | 0 0 2 |

Structure:
abc: 6.4194 6.4194 2.6970
angles: 90.00 90.00 90.00
Space group P4/mbm (No. 127)
Asymmetric unit:
B: 0.1518 0.3482 0.0000 (multiplicity 4)
Ir: 0.1534 0.6534 0.5000 (multiplicity 4)
Ru: 0.0000 0.0000 0.0000 (multiplicity 2)



What did the fifth record say?
Tl2IrBr2Cl4: theoretical powder XRD pattern (Cu Kα), based on the GGA-PBE geometry in Alexandria.
Kinematic intensities with the Lorentz-polarization factor, no thermal factor.

Largest 10 diffraction maxima, low angle first, 5 to 70 degrees two-theta:
| 2θ (°) | I (rel.) | index |
| --- | --- | --- |
| 15.2 | 44 | 1 1 0 |
| 24.6 | 100 | 2 0 -2 |
| 24.8 | 54 | 3 1 -1 |
| 25.1 | 52 | 0 2 0 |
| 29.1 | 31 | 3 1 -2 |
| 30.6 | 45 | 2 2 0 |
| 35.0 | 45 | 4 0 0 |
| 35.5 | 82 | 2 2 -2 |
| 43.5 | 42 | 4 2 0 |
| 50.5 | 38 | 2 2 2 |

Structure:
abc: 12.5080 7.0940 7.2222
angles: 90.00 124.84 90.00
Space group C2/m (No. 12)
Asymmetric unit:
Tl: 0.2491 0.0000 0.2733 (multiplicity 4)
Ir: 0.0000 0.0000 0.5000 (multiplicity 2)
Br: 0.2398 0.0000 0.7902 (multiplicity 4)
Cl: 0.0259 0.2327 0.2985 (multiplicity 8)